# Er3CrO6
Computed PXRD pattern, Cu Kα, 1.54184 Å. Input: a structure optimized by DFT (PBE+U).
Kinematic intensities with the Lorentz-polarization factor, no thermal factor.

Atomic structure:
abc: 6.462 6.462 6.462
angles: 92.42 92.42 92.42
Element x y z (fractional)
Er  0.064  0.755  0.572
Er  0.245  0.428  0.936
Er  0.428  0.936  0.245
Er  0.572  0.064  0.755
Er  0.755  0.572  0.064
Er  0.936  0.245  0.428
Cr  0.000  0.000  0.000
Cr  0.500  0.500  0.500
O  0.040  0.699  0.912
O  0.088  0.960  0.301
O  0.198  0.431  0.581
O  0.301  0.088  0.960
O  0.419  0.802  0.569
O  0.431  0.581  0.198
O  0.569  0.419  0.802
O  0.581  0.198  0.431
O  0.699  0.912  0.040
O  0.802  0.569  0.419
O  0.912  0.040  0.699
O  0.960  0.301  0.088

Peak list (8 most intense, 10 to 90 degrees two-theta, by intensity)
30.4 deg, I 1000; 33.8 deg, I 487; 24.9 deg, I 402; 31.6 deg, I 383; 45.0 deg, I 277; 43.8 deg, I 247; 51.9 deg, I 230; 63.3 deg, I 170